[1]
Calculated powder XRD pattern of Mg5Sc for λ = 1.5418 Å (Cu Kα), from the PBE geometry in the Materials Project.

Atomic structure:
```
data_Mg5Sc
_cell_length_a 5.5021
_cell_length_b 5.5021
_cell_length_c 15.9731
_cell_angle_alpha 90.00
_cell_angle_beta 90.00
_cell_angle_gamma 120.00
_symmetry_space_group_name_H-M 'R 3 2'
_symmetry_Int_Tables_number 155
_symmetry_space_group_name_Hall 'R 3 2"'
loop_
_atom_site_label
_atom_site_fract_x
_atom_site_fract_y
_atom_site_fract_z
Mg1 0.0000 0.0000 0.1648
Mg2 0.0000 0.6621 0.0000
Sc1 0.0000 0.0000 0.5000
```

Main lines, low angle first (10 to 90 degrees two-theta):
h k l  2θ (°)  I/Imax
1 0 1  19.44  5
1 1 0  32.55  24
0 0 6  33.67  28
1 1 3  36.77  100
1 1 6  47.53  16
3 0 0  58.07  16
1 1 9  62.25  20
3 0 6  68.83  19
0 0 12  70.75  16
2 2 6  78.23  3

***

[2]
Calculated powder XRD pattern of MgSc2 for λ = 1.5418 Å (Cu Kα), from the PBE geometry in the Materials Project.

Atomic structure:
```
data_MgSc2
_cell_length_a 3.3294
_cell_length_b 16.6712
_cell_length_c 5.1515
_cell_angle_alpha 90.00
_cell_angle_beta 90.00
_cell_angle_gamma 90.00
_symmetry_space_group_name_H-M 'C m c m'
_symmetry_Int_Tables_number 63
_symmetry_space_group_name_Hall '-C 2c 2'
loop_
_atom_site_label
_atom_site_fract_x
_atom_site_fract_y
_atom_site_fract_z
Mg1 0.0000 0.0592 0.2500
Sc1 0.0000 0.2755 0.7500
Sc2 0.0000 0.3946 0.2500
```

Main lines, low angle first (10 to 90 degrees two-theta):
h k l  2θ (°)  I/Imax
1 3 0  31.32  17
0 6 0  32.22  16
0 0 2  34.83  34
1 3 1  35.95  100
0 6 1  36.75  35
1 3 2  47.54  10
1 9 0  56.88  14
1 3 3  63.18  17
2 6 1  68.14  10
1 9 2  68.46  15

***

[3]
Calculated powder XRD pattern of MgSc3 for λ = 1.5418 Å (Cu Kα), from the PBE geometry in the Materials Project.

Atomic structure:
```
data_MgSc3
_cell_length_a 3.2616
_cell_length_b 3.2616
_cell_length_c 10.6232
_cell_angle_alpha 90.00
_cell_angle_beta 90.00
_cell_angle_gamma 120.00
_symmetry_space_group_name_H-M 'P -6 m 2'
_symmetry_Int_Tables_number 187
_symmetry_space_group_name_Hall 'P -6 2'
loop_
_atom_site_label
_atom_site_fract_x
_atom_site_fract_y
_atom_site_fract_z
Mg1 0.0000 0.0000 0.0000
Sc1 0.0000 0.0000 0.5000
Sc2 0.3333 0.6667 0.2574
```

Main lines, low angle first (10 to 90 degrees two-theta):
h k l  2θ (°)  I/Imax
1 0 0  31.68  25
0 0 4  33.75  26
1 0 2  36.01  100
1 0 4  46.96  15
1 1 0  56.42  16
1 0 6  61.85  17
1 1 4  67.39  18
2 0 2  68.78  13
2 0 4  76.38  3
2 0 6  88.57  6

***

[4]
Calculated powder XRD pattern of Mg2Sc for λ = 1.5418 Å (Cu Kα), from the PBE geometry in the Materials Project.

Atomic structure:
```
data_Mg2Sc
_cell_length_a 11.9255
_cell_length_b 3.2372
_cell_length_c 7.5990
_cell_angle_alpha 90.00
_cell_angle_beta 105.22
_cell_angle_gamma 90.00
_symmetry_space_group_name_H-M 'C 1 2/m 1'
_symmetry_Int_Tables_number 12
loop_
_symmetry_equiv_pos_as_xyz
'x,y,z'
'-x,-y,-z'
'-x,y,-z'
'x,-y,z'
'x+1/2,y+1/2,z'
'-x+1/2,-y+1/2,-z'
'-x+1/2,y+1/2,-z'
'x+1/2,-y+1/2,z'
loop_
_atom_site_label
_atom_site_fract_x
_atom_site_fract_y
_atom_site_fract_z
Mg1 0.0280 0.0000 0.3064
Mg2 0.1939 0.5000 0.6392
Sc1 0.1388 0.5000 0.0275
```

Main lines, low angle first (10 to 90 degrees two-theta):
h k l  2θ (°)  I/Imax
0 0 1  12.07  29
1 1 1  31.99  33
2 0 2  32.21  16
4 0 -2  34.20  54
3 1 0  36.31  70
4 0 1  36.47  100
0 0 3  36.77  33
3 1 3  57.30  22
7 1 -2  62.48  19
7 1 1  68.09  25

***

[5]
Calculated powder XRD pattern of Mg2Sc for λ = 1.5418 Å (Cu Kα), from the PBE geometry in the Materials Project.

Atomic structure:
```
data_Mg2Sc
_cell_length_a 12.0756
_cell_length_b 3.2070
_cell_length_c 7.4976
_cell_angle_alpha 90.00
_cell_angle_beta 104.94
_cell_angle_gamma 90.00
_symmetry_space_group_name_H-M 'C 1 2/m 1'
_symmetry_Int_Tables_number 12
loop_
_symmetry_equiv_pos_as_xyz
'x,y,z'
'-x,-y,-z'
'-x,y,-z'
'x,-y,z'
'x+1/2,y+1/2,z'
'-x+1/2,-y+1/2,-z'
'-x+1/2,y+1/2,-z'
'x+1/2,-y+1/2,z'
loop_
_atom_site_label
_atom_site_fract_x
_atom_site_fract_y
_atom_site_fract_z
Mg1 0.1413 0.0000 0.0303
Mg2 0.1962 0.0000 0.6425
Sc1 0.0243 0.5000 0.3041
```

Main lines, low angle first (10 to 90 degrees two-theta):
h k l  2θ (°)  I/Imax
2 0 0  15.19  21
2 0 2  32.25  67
4 0 -2  34.14  77
4 0 1  36.04  46
3 1 0  36.31  100
1 1 -2  36.91  91
0 0 3  37.24  44
0 2 0  57.51  46
7 1 1  67.47  25
1 1 -5  69.76  28

***

[6]
Calculated powder XRD pattern of Mg5Sc for λ = 1.5418 Å (Cu Kα), from the PBE geometry in the Materials Project.

Atomic structure:
```
data_Mg5Sc
_cell_length_a 11.9410
_cell_length_b 3.1968
_cell_length_c 7.5770
_cell_angle_alpha 90.00
_cell_angle_beta 105.04
_cell_angle_gamma 90.00
_symmetry_space_group_name_H-M 'C 1 m 1'
_symmetry_Int_Tables_number 8
loop_
_symmetry_equiv_pos_as_xyz
'x,y,z'
'x,-y,z'
'x+1/2,y+1/2,z'
'x+1/2,-y+1/2,z'
loop_
_atom_site_label
_atom_site_fract_x
_atom_site_fract_y
_atom_site_fract_z
Mg1 0.0000 0.0000 0.0000
Mg2 0.0558 0.0000 0.6114
Mg3 0.1647 0.5000 0.3314
Mg4 0.2211 0.5000 0.9422
Mg5 0.3330 0.0000 0.6628
Sc1 0.3868 0.0000 0.2728
```

Main lines, low angle first (10 to 90 degrees two-theta):
h k l  2θ (°)  I/Imax
2 0 2  32.20  17
1 1 1  32.30  33
4 0 -2  34.24  55
4 0 1  36.34  34
3 1 0  36.56  69
1 1 -2  36.83  100
3 1 3  57.48  23
7 1 -2  62.66  13
7 1 1  68.14  13
2 0 5  70.41  13

***

[7]
Calculated powder XRD pattern of MgSc3 for λ = 1.5418 Å (Cu Kα), from the PBE geometry in the Materials Project.

Atomic structure:
```
data_MgSc3
_cell_length_a 3.2770
_cell_length_b 10.5457
_cell_length_c 5.5955
_cell_angle_alpha 90.00
_cell_angle_beta 90.00
_cell_angle_gamma 90.00
_symmetry_space_group_name_H-M 'I m m 2'
_symmetry_Int_Tables_number 44
loop_
_symmetry_equiv_pos_as_xyz
'x,y,z'
'-x,-y,z'
'-x,y,z'
'x,-y,z'
'x+1/2,y+1/2,z+1/2'
'-x+1/2,-y+1/2,z+1/2'
'-x+1/2,y+1/2,z+1/2'
'x+1/2,-y+1/2,z+1/2'
loop_
_atom_site_label
_atom_site_fract_x
_atom_site_fract_y
_atom_site_fract_z
Mg1 0.0000 0.0000 0.0000
Sc1 0.0000 0.2520 0.6703
Sc2 0.0000 0.5000 0.0115
```

Main lines, low angle first (10 to 90 degrees two-theta):
h k l  2θ (°)  I/Imax
1 0 1  31.64  24
0 0 2  31.99  13
0 4 0  34.00  39
1 2 1  36.04  100
0 2 2  36.35  47
1 4 1  47.13  14
1 0 3  56.80  16
1 6 1  62.19  18
1 4 3  67.88  17
2 2 2  68.74  12

***

[8]
Calculated powder XRD pattern of MgSc2 for λ = 1.5418 Å (Cu Kα), from the PBE geometry in the Materials Project.

Atomic structure:
```
data_MgSc2
_cell_length_a 11.9370
_cell_length_b 3.2641
_cell_length_c 7.6869
_cell_angle_alpha 90.00
_cell_angle_beta 104.26
_cell_angle_gamma 90.00
_symmetry_space_group_name_H-M 'C 1 2/m 1'
_symmetry_Int_Tables_number 12
loop_
_symmetry_equiv_pos_as_xyz
'x,y,z'
'-x,-y,-z'
'-x,y,-z'
'x,-y,z'
'x+1/2,y+1/2,z'
'-x+1/2,-y+1/2,-z'
'-x+1/2,y+1/2,-z'
'x+1/2,-y+1/2,z'
loop_
_atom_site_label
_atom_site_fract_x
_atom_site_fract_y
_atom_site_fract_z
Mg1 0.1396 0.0000 0.0252
Sc1 0.0254 0.5000 0.3067
Sc2 0.1962 0.0000 0.6340
```

Main lines, low angle first (10 to 90 degrees two-theta):
h k l  2θ (°)  I/Imax
0 0 1  11.88  23
2 0 2  31.63  48
4 0 -2  34.25  51
3 1 0  36.02  99
1 1 -2  36.16  100
2 0 -4  47.42  14
3 1 3  56.33  33
5 1 -4  62.66  17
7 1 1  67.40  12
2 0 5  68.83  13

***

[9]
Calculated powder XRD pattern of Mg5Sc for λ = 1.5418 Å (Cu Kα), from the PBE geometry in the Materials Project.

Atomic structure:
```
data_Mg5Sc
_cell_length_a 5.5703
_cell_length_b 5.5703
_cell_length_c 5.1491
_cell_angle_alpha 90.00
_cell_angle_beta 90.00
_cell_angle_gamma 120.00
_symmetry_space_group_name_H-M 'P -6 2 m'
_symmetry_Int_Tables_number 189
_symmetry_space_group_name_Hall 'P -6 -2'
loop_
_atom_site_label
_atom_site_fract_x
_atom_site_fract_y
_atom_site_fract_z
Mg1 0.0000 0.6575 0.0000
Mg2 0.3333 0.6667 0.5000
Sc1 0.0000 0.0000 0.5000
```

Main lines, low angle first (10 to 90 degrees two-theta):
h k l  2θ (°)  I/Imax
1 0 0  18.39  4
1 0 1  25.30  6
1 1 0  32.14  25
0 0 2  34.85  26
1 1 1  36.68  100
1 1 2  48.13  15
3 0 0  57.30  17
1 1 3  63.69  18
3 0 2  68.84  19
2 2 1  69.99  13

***

[10]
Calculated powder XRD pattern of Mg7Sc for λ = 1.5418 Å (Cu Kα), from the PBE geometry in the Materials Project.

Atomic structure:
```
data_Mg7Sc
_cell_length_a 9.0619
_cell_length_b 9.0619
_cell_length_c 9.0619
_cell_angle_alpha 90.00
_cell_angle_beta 90.00
_cell_angle_gamma 90.00
_symmetry_space_group_name_H-M 'F m -3 m'
_symmetry_Int_Tables_number 225
_symmetry_space_group_name_Hall '-F 4 2 3'
loop_
_atom_site_label
_atom_site_fract_x
_atom_site_fract_y
_atom_site_fract_z
Mg1 0.0000 0.0000 0.0000
Mg2 0.0000 0.2500 0.2500
Sc1 0.0000 0.0000 0.5000
```

Main lines, low angle first (10 to 90 degrees two-theta):
h k l  2θ (°)  I/Imax
1 1 1  16.95  5
2 0 0  19.59  2
2 2 0  27.85  2
3 1 1  32.78  2
2 2 2  34.28  100
4 0 0  39.79  49
4 4 0  57.53  31
6 2 2  68.71  35
4 4 4  72.23  10
8 0 0  85.78  5

***

[11]
Calculated powder XRD pattern of Mg5Sc for λ = 1.5418 Å (Cu Kα), from the PBE geometry in the Materials Project.

Atomic structure:
```
data_Mg5Sc
_cell_length_a 5.1907
_cell_length_b 3.2364
_cell_length_c 16.5837
_cell_angle_alpha 90.00
_cell_angle_beta 90.00
_cell_angle_gamma 90.00
_symmetry_space_group_name_H-M 'A m m 2'
_symmetry_Int_Tables_number 38
loop_
_symmetry_equiv_pos_as_xyz
'x,y,z'
'-x,-y,z'
'-x,y,z'
'x,-y,z'
'x,y+1/2,z+1/2'
'-x,-y+1/2,z+1/2'
'-x,y+1/2,z+1/2'
'x,-y+1/2,z+1/2'
loop_
_atom_site_label
_atom_site_fract_x
_atom_site_fract_y
_atom_site_fract_z
Mg1 0.0000 0.0000 0.0000
Mg2 0.0000 0.0000 0.3300
Mg3 0.0000 0.0000 0.6658
Mg4 0.5000 0.0000 0.5537
Mg5 0.5000 0.0000 0.8866
Sc1 0.5000 0.0000 0.2177
```

Main lines, low angle first (10 to 90 degrees two-theta):
h k l  2θ (°)  I/Imax
0 1 3  32.05  23
0 0 6  32.39  13
2 0 0  34.56  38
1 1 3  36.53  100
1 0 6  36.84  46
2 1 3  47.84  14
0 1 9  57.56  16
3 1 3  63.22  18
2 1 9  68.90  18
1 2 6  69.74  13

***

[12]
Calculated powder XRD pattern of MgSc2Se4 for λ = 1.5418 Å (Cu Kα), from the PBE geometry in the Materials Project.

Atomic structure:
```
data_MgSc2Se4
_cell_length_a 12.6614
_cell_length_b 3.8080
_cell_length_c 13.2926
_cell_angle_alpha 90.00
_cell_angle_beta 90.00
_cell_angle_gamma 90.00
_symmetry_space_group_name_H-M 'P n m a'
_symmetry_Int_Tables_number 62
loop_
_symmetry_equiv_pos_as_xyz
'x,y,z'
'-x,-y,-z'
'-x+1/2,-y,z+1/2'
'x+1/2,y,-z+1/2'
'x+1/2,-y+1/2,-z+1/2'
'-x+1/2,y+1/2,z+1/2'
'-x,y+1/2,-z'
'x,-y+1/2,z'
loop_
_atom_site_label
_atom_site_fract_x
_atom_site_fract_y
_atom_site_fract_z
Mg1 0.1266 0.2500 0.0767
Sc1 0.1090 0.7500 0.4197
Sc2 0.1470 0.7500 0.7971
Se1 0.0265 0.2500 0.8881
Se2 0.0346 0.7500 0.6198
Se3 0.2151 0.7500 0.2397
Se4 0.2477 0.2500 0.4769
```

Main lines, low angle first (10 to 90 degrees two-theta):
h k l  2θ (°)  I/Imax
1 1 2  27.91  29
4 0 0  28.18  20
2 0 4  30.38  100
3 1 1  32.37  76
2 1 3  34.12  23
3 1 2  34.47  58
1 1 5  42.06  32
0 2 0  47.76  76
1 1 6  48.05  19
2 2 4  57.67  31

***

Which formula does entry 12 have?
MgSc2Se4